Record 1
Simulated PXRD pattern of YOs3 for Cu Kα, 1.54184 Å, from a structure optimized by DFT (GGA-PBE).

Most intense lines, 5 to 70 degrees two-theta, by intensity:
2θ/deg	I_rel
40.62	1000
38.84	259
35.48	241
63.71	168
53.61	149
17.53	103
51.70	54
26.06	35
30.60	27
58.21	23

Structure:
```
data_YOs3
_space_group_name_H-M_alt 'P 1'
_space_group_IT_number 1
_cell_length_a 5.843
_cell_length_b 5.843
_cell_length_c 4.638
_cell_angle_alpha 90.00
_cell_angle_beta 90.00
_cell_angle_gamma 120.00
loop_
_space_group_symop_operation_xyz
'x,y,z'
loop_
_atom_site_label
_atom_site_type_symbol
_atom_site_fract_x
_atom_site_fract_y
_atom_site_fract_z
Y1 Y 0.333 0.667 0.250
Y2 Y 0.667 0.333 0.750
Os1 Os 0.156 0.313 0.750
Os2 Os 0.156 0.844 0.750
Os3 Os 0.313 0.156 0.250
Os4 Os 0.687 0.844 0.750
Os5 Os 0.844 0.156 0.250
Os6 Os 0.844 0.687 0.250
```

=====

Record 2
Simulated PXRD pattern of LuNbRu2 for Cu Kα, 1.54184 Å, from a structure optimized by DFT (GGA-PBE).

Most intense lines, 5 to 70 degrees two-theta, by intensity:
2θ/deg	I_rel
39.25	1000
56.72	169
23.74	62
46.39	35
27.48	21
62.35	15
64.16	9
48.58	7

Structure:
```
data_LuNbRu2
_space_group_name_H-M_alt 'P 1'
_space_group_IT_number 1
_cell_length_a 4.590
_cell_length_b 4.590
_cell_length_c 4.590
_cell_angle_alpha 60.00
_cell_angle_beta 60.00
_cell_angle_gamma 60.00
loop_
_space_group_symop_operation_xyz
'x,y,z'
loop_
_atom_site_label
_atom_site_type_symbol
_atom_site_fract_x
_atom_site_fract_y
_atom_site_fract_z
Lu1 Lu 0.000 0.000 0.000
Nb1 Nb 0.500 0.500 0.500
Ru1 Ru 0.250 0.250 0.250
Ru2 Ru 0.750 0.750 0.750
```

=====

Record 3
Simulated PXRD pattern of LiHg3 for Cu Kα, 1.54184 Å, from a structure optimized by DFT (GGA-PBE).

Most intense lines, 5 to 70 degrees two-theta, by intensity:
2θ/deg	I_rel
34.36	1000
38.78	362
21.75	319
67.38	293
58.51	222
42.03	145
56.00	126
44.90	100
27.15	94
20.66	90

Structure:
```
data_LiHg3
_space_group_name_H-M_alt 'P 1'
_space_group_IT_number 1
_cell_length_a 5.410
_cell_length_b 5.410
_cell_length_c 5.410
_cell_angle_alpha 129.16
_cell_angle_beta 129.16
_cell_angle_gamma 74.75
loop_
_space_group_symop_operation_xyz
'x,y,z'
loop_
_atom_site_label
_atom_site_type_symbol
_atom_site_fract_x
_atom_site_fract_y
_atom_site_fract_z
Li1 Li 0.000 0.000 0.000
Hg1 Hg 0.250 0.750 0.500
Hg2 Hg 0.500 0.500 0.000
Hg3 Hg 0.750 0.250 0.500
```

=====

Record 4
Simulated PXRD pattern of SiAg2S3 for Cu Kα, 1.54184 Å, from a structure optimized by DFT (GGA-PBE).

Most intense lines, 5 to 70 degrees two-theta, by intensity:
2θ/deg	I_rel
23.81	1000
30.90	390
36.13	298
26.54	278
14.99	278
42.42	255
37.81	248
20.02	227
35.14	196
30.63	187

Structure:
```
data_SiAg2S3
_space_group_name_H-M_alt 'P 1'
_space_group_IT_number 1
_cell_length_a 6.743
_cell_length_b 6.719
_cell_length_c 13.437
_cell_angle_alpha 90.00
_cell_angle_beta 118.62
_cell_angle_gamma 90.00
loop_
_space_group_symop_operation_xyz
'x,y,z'
loop_
_atom_site_label
_atom_site_type_symbol
_atom_site_fract_x
_atom_site_fract_y
_atom_site_fract_z
Si1 Si 0.160 0.153 0.005
Si2 Si 0.160 0.347 0.505
Si3 Si 0.840 0.653 0.495
Si4 Si 0.840 0.847 0.995
Ag1 Ag 0.226 0.020 0.752
Ag2 Ag 0.226 0.480 0.252
Ag3 Ag 0.487 0.606 0.113
Ag4 Ag 0.487 0.894 0.613
Ag5 Ag 0.513 0.106 0.387
Ag6 Ag 0.513 0.394 0.887
Ag7 Ag 0.774 0.520 0.748
Ag8 Ag 0.774 0.980 0.248
S1 S 0.125 0.204 0.357
S2 S 0.125 0.296 0.857
S3 S 0.152 0.671 0.483
S4 S 0.152 0.829 0.983
S5 S 0.441 0.248 0.158
S6 S 0.441 0.252 0.658
S7 S 0.559 0.748 0.342
S8 S 0.559 0.752 0.842
S9 S 0.848 0.171 0.017
S10 S 0.848 0.329 0.517
S11 S 0.875 0.704 0.143
S12 S 0.875 0.796 0.643
```

=====

Record 5
Simulated PXRD pattern of BaSrYBiO6 for Cu Kα, 1.54184 Å, from a structure optimized by DFT (GGA-PBE).

Most intense lines, 5 to 70 degrees two-theta, by intensity:
2θ/deg	I_rel
29.28	1000
51.92	446
41.89	282
68.83	184
60.73	171
17.81	124
34.48	73
20.59	57
45.85	33
63.83	30

Structure:
```
data_BaSrYBiO6
_space_group_name_H-M_alt 'P 1'
_space_group_IT_number 1
_cell_length_a 8.622
_cell_length_b 8.627
_cell_length_c 8.631
_cell_angle_alpha 90.00
_cell_angle_beta 90.00
_cell_angle_gamma 90.00
loop_
_space_group_symop_operation_xyz
'x,y,z'
loop_
_atom_site_label
_atom_site_type_symbol
_atom_site_fract_x
_atom_site_fract_y
_atom_site_fract_z
Ba1 Ba 0.000 0.000 0.000
Ba2 Ba 0.000 0.000 0.500
Ba3 Ba 0.000 0.500 0.000
Ba4 Ba 0.500 0.500 0.000
Sr1 Sr 0.000 0.500 0.500
Sr2 Sr 0.500 0.000 0.000
Sr3 Sr 0.500 0.000 0.500
Sr4 Sr 0.500 0.500 0.500
Y1 Y 0.252 0.250 0.253
Y2 Y 0.252 0.750 0.747
Y3 Y 0.748 0.250 0.747
Y4 Y 0.748 0.750 0.253
Bi1 Bi 0.252 0.250 0.747
Bi2 Bi 0.252 0.750 0.253
Bi3 Bi 0.748 0.250 0.253
Bi4 Bi 0.748 0.750 0.747
O1 O 0.007 0.220 0.776
O2 O 0.007 0.780 0.224
O3 O 0.212 0.285 0.506
O4 O 0.212 0.715 0.494
O5 O 0.226 0.494 0.781
O6 O 0.226 0.506 0.219
O7 O 0.286 0.007 0.710
O8 O 0.286 0.993 0.290
O9 O 0.289 0.216 0.992
O10 O 0.289 0.784 0.008
O11 O 0.494 0.288 0.711
O12 O 0.494 0.712 0.289
O13 O 0.506 0.288 0.289
O14 O 0.506 0.712 0.711
O15 O 0.711 0.216 0.008
O16 O 0.711 0.784 0.992
O17 O 0.714 0.007 0.290
O18 O 0.714 0.993 0.710
O19 O 0.774 0.494 0.219
O20 O 0.774 0.506 0.781
O21 O 0.788 0.285 0.494
O22 O 0.788 0.715 0.506
O23 O 0.993 0.220 0.224
O24 O 0.993 0.780 0.776
```

=====

Record 6
Simulated PXRD pattern of BaMg6Mo for Cu Kα, 1.54184 Å, from a structure optimized by DFT (GGA-PBE).

Most intense lines, 5 to 70 degrees two-theta, by intensity:
2θ/deg	I_rel
33.69	1000
18.51	542
27.89	350
37.53	348
26.30	251
42.11	241
57.65	231
65.28	221
47.40	207
20.68	195

Structure:
```
data_BaMg6Mo
_space_group_name_H-M_alt 'P 1'
_space_group_IT_number 1
_cell_length_a 6.778
_cell_length_b 6.778
_cell_length_c 4.295
_cell_angle_alpha 90.00
_cell_angle_beta 90.00
_cell_angle_gamma 90.00
loop_
_space_group_symop_operation_xyz
'x,y,z'
loop_
_atom_site_label
_atom_site_type_symbol
_atom_site_fract_x
_atom_site_fract_y
_atom_site_fract_z
Ba1 Ba 0.000 0.000 0.000
Mg1 Mg 0.000 0.500 0.000
Mg2 Mg 0.290 0.290 0.500
Mg3 Mg 0.290 0.710 0.500
Mg4 Mg 0.500 0.000 0.000
Mg5 Mg 0.710 0.290 0.500
Mg6 Mg 0.710 0.710 0.500
Mo1 Mo 0.500 0.500 0.000
```

=====

Record 7
Simulated PXRD pattern of K2ZnC4N4 for Cu Kα, 1.54184 Å, from a structure optimized by DFT (GGA-PBE).

Most intense lines, 5 to 70 degrees two-theta, by intensity:
2θ/deg	I_rel
23.23	1000
19.78	572
40.17	564
36.78	363
55.59	223
34.61	162
54.04	160
28.11	150
63.44	127
46.92	112

Structure:
```
data_K2ZnC4N4
_space_group_name_H-M_alt 'P 1'
_space_group_IT_number 1
_cell_length_a 8.979
_cell_length_b 8.979
_cell_length_c 8.979
_cell_angle_alpha 60.00
_cell_angle_beta 60.00
_cell_angle_gamma 60.00
loop_
_space_group_symop_operation_xyz
'x,y,z'
loop_
_atom_site_label
_atom_site_type_symbol
_atom_site_fract_x
_atom_site_fract_y
_atom_site_fract_z
K1 K 0.000 0.000 0.000
K2 K 0.000 0.000 0.500
K3 K 0.000 0.500 0.000
K4 K 0.500 0.000 0.000
Zn1 Zn 0.375 0.375 0.375
Zn2 Zn 0.625 0.625 0.625
C1 C 0.283 0.283 0.283
C2 C 0.283 0.283 0.650
C3 C 0.283 0.650 0.283
C4 C 0.350 0.717 0.717
C5 C 0.650 0.283 0.283
C6 C 0.717 0.350 0.717
C7 C 0.717 0.717 0.350
C8 C 0.717 0.717 0.717
N1 N 0.190 0.770 0.770
N2 N 0.230 0.230 0.230
N3 N 0.230 0.230 0.810
N4 N 0.230 0.810 0.230
N5 N 0.770 0.190 0.770
N6 N 0.770 0.770 0.190
N7 N 0.770 0.770 0.770
N8 N 0.810 0.230 0.230
```

=====

Record 8
Simulated PXRD pattern of Ca3SbI3 for Cu Kα, 1.54184 Å, from a structure optimized by DFT (GGA-PBE).

Most intense lines, 5 to 70 degrees two-theta, by intensity:
2θ/deg	I_rel
27.78	1000
39.69	745
24.00	673
46.91	345
64.92	327
49.13	261
63.09	146
57.38	120
9.74	30
25.95	24

Structure:
```
data_Ca3SbI3
_space_group_name_H-M_alt 'P 1'
_space_group_IT_number 1
_cell_length_a 11.126
_cell_length_b 11.126
_cell_length_c 11.126
_cell_angle_alpha 109.47
_cell_angle_beta 109.47
_cell_angle_gamma 109.47
loop_
_space_group_symop_operation_xyz
'x,y,z'
loop_
_atom_site_label
_atom_site_type_symbol
_atom_site_fract_x
_atom_site_fract_y
_atom_site_fract_z
Ca1 Ca 0.009 0.018 0.259
Ca2 Ca 0.009 0.491 0.750
Ca3 Ca 0.018 0.259 0.009
Ca4 Ca 0.241 0.259 0.750
Ca5 Ca 0.241 0.482 0.491
Ca6 Ca 0.259 0.009 0.018
Ca7 Ca 0.259 0.750 0.241
Ca8 Ca 0.482 0.491 0.241
Ca9 Ca 0.491 0.241 0.482
Ca10 Ca 0.491 0.750 0.009
Ca11 Ca 0.750 0.009 0.491
Ca12 Ca 0.750 0.241 0.259
Sb1 Sb 0.000 0.250 0.500
Sb2 Sb 0.250 0.250 0.250
Sb3 Sb 0.250 0.500 0.000
Sb4 Sb 0.500 0.000 0.250
I1 I 0.250 0.752 0.748
I2 I 0.250 0.998 0.502
I3 I 0.502 0.250 0.998
I4 I 0.502 0.752 0.504
I5 I 0.504 0.502 0.752
I6 I 0.748 0.250 0.752
I7 I 0.748 0.998 0.996
I8 I 0.752 0.504 0.502
I9 I 0.752 0.748 0.250
I10 I 0.996 0.748 0.998
I11 I 0.998 0.502 0.250
I12 I 0.998 0.996 0.748
```

=====

Record 9
Simulated PXRD pattern of LaGe3Rh for Cu Kα, 1.54184 Å, from a structure optimized by DFT (GGA-PBE).

Most intense lines, 5 to 70 degrees two-theta, by intensity:
2θ/deg	I_rel
33.40	1000
40.45	776
33.13	718
53.24	368
28.30	260
58.53	258
45.75	247
69.09	237
49.11	195
62.01	177

Structure:
```
data_LaGe3Rh
_space_group_name_H-M_alt 'P 1'
_space_group_IT_number 1
_cell_length_a 5.997
_cell_length_b 5.997
_cell_length_c 5.997
_cell_angle_alpha 136.33
_cell_angle_beta 136.33
_cell_angle_gamma 63.47
loop_
_space_group_symop_operation_xyz
'x,y,z'
loop_
_atom_site_label
_atom_site_type_symbol
_atom_site_fract_x
_atom_site_fract_y
_atom_site_fract_z
La1 La 0.000 0.000 0.000
Ge1 Ge 0.263 0.763 0.500
Ge2 Ge 0.422 0.422 0.000
Ge3 Ge 0.763 0.263 0.500
Rh1 Rh 0.660 0.660 0.000
```

=====

Record 10
Simulated PXRD pattern of LaCo4B for Cu Kα, 1.54184 Å, from a structure optimized by DFT (GGA-PBE).

Most intense lines, 5 to 70 degrees two-theta, by intensity:
2θ/deg	I_rel
44.19	1000
33.09	812
40.68	779
35.03	299
61.61	267
69.23	247
69.44	152
65.70	131
53.65	127
37.50	115

Structure:
```
data_LaCo4B
_space_group_name_H-M_alt 'P 1'
_space_group_IT_number 1
_cell_length_a 5.123
_cell_length_b 5.123
_cell_length_c 6.834
_cell_angle_alpha 90.00
_cell_angle_beta 90.00
_cell_angle_gamma 120.00
loop_
_space_group_symop_operation_xyz
'x,y,z'
loop_
_atom_site_label
_atom_site_type_symbol
_atom_site_fract_x
_atom_site_fract_y
_atom_site_fract_z
La1 La 0.000 0.000 0.000
La2 La 0.000 0.000 0.500
Co1 Co 0.000 0.500 0.210
Co2 Co 0.000 0.500 0.790
Co3 Co 0.333 0.667 0.500
Co4 Co 0.500 0.000 0.210
Co5 Co 0.500 0.000 0.790
Co6 Co 0.500 0.500 0.210
Co7 Co 0.500 0.500 0.790
Co8 Co 0.667 0.333 0.500
B1 B 0.333 0.667 0.000
B2 B 0.667 0.333 0.000
```

=====

Record 11
Simulated PXRD pattern of TbGaO3 for Cu Kα, 1.54184 Å, from a structure optimized by DFT (GGA-PBE).

Most intense lines, 5 to 70 degrees two-theta, by intensity:
2θ/deg	I_rel
32.95	1000
33.69	242
59.78	214
31.94	189
25.85	180
53.35	180
47.10	178
47.48	140
34.07	117
59.48	115

Structure:
```
data_TbGaO3
_space_group_name_H-M_alt 'P 1'
_space_group_IT_number 1
_cell_length_a 5.604
_cell_length_b 7.660
_cell_length_c 5.321
_cell_angle_alpha 90.00
_cell_angle_beta 90.00
_cell_angle_gamma 90.00
loop_
_space_group_symop_operation_xyz
'x,y,z'
loop_
_atom_site_label
_atom_site_type_symbol
_atom_site_fract_x
_atom_site_fract_y
_atom_site_fract_z
Tb1 Tb 0.066 0.250 0.019
Tb2 Tb 0.434 0.750 0.519
Tb3 Tb 0.566 0.250 0.481
Tb4 Tb 0.934 0.750 0.981
Ga1 Ga 0.000 0.000 0.500
Ga2 Ga 0.000 0.500 0.500
Ga3 Ga 0.500 0.000 0.000
Ga4 Ga 0.500 0.500 0.000
O1 O 0.037 0.750 0.391
O2 O 0.198 0.556 0.804
O3 O 0.198 0.944 0.804
O4 O 0.302 0.056 0.304
O5 O 0.302 0.444 0.304
O6 O 0.463 0.250 0.891
O7 O 0.537 0.750 0.109
O8 O 0.698 0.556 0.696
O9 O 0.698 0.944 0.696
O10 O 0.802 0.056 0.196
O11 O 0.802 0.444 0.196
O12 O 0.963 0.250 0.609
```

=====

Record 12
Simulated PXRD pattern of ThZr2 for Cu Kα, 1.54184 Å, from a structure optimized by DFT (GGA-PBE).

Most intense lines, 5 to 70 degrees two-theta, by intensity:
2θ/deg	I_rel
32.77	1000
38.30	641
11.09	311
33.71	278
55.91	265
65.77	240
54.65	212
65.20	139
66.90	122
68.69	116

Structure:
```
data_ThZr2
_space_group_name_H-M_alt 'P 1'
_space_group_IT_number 1
_cell_length_a 3.359
_cell_length_b 3.359
_cell_length_c 7.976
_cell_angle_alpha 90.00
_cell_angle_beta 90.00
_cell_angle_gamma 120.00
loop_
_space_group_symop_operation_xyz
'x,y,z'
loop_
_atom_site_label
_atom_site_type_symbol
_atom_site_fract_x
_atom_site_fract_y
_atom_site_fract_z
Th1 Th 0.000 0.000 0.000
Zr1 Zr 0.333 0.667 0.661
Zr2 Zr 0.667 0.333 0.339
```